For Pr6IrPb2, a crystal structure in Alexandria, relaxed with PBE gives the theoretical X-ray diffraction stick pattern in this record (λ = 1.5418 Å (Cu Kα)).

Largest 10 diffraction maxima, low angle first, 5 to 70 degrees two-theta:
| two_theta | intensity |
| --- | --- |
| 13.15 | 236 |
| 16.05 | 244 |
| 26.48 | 241 |
| 29.98 | 314 |
| 30.34 | 888 |
| 30.71 | 245 |
| 32.62 | 330 |
| 33.65 | 235 |
| 33.79 | 1000 |
| 34.06 | 253 |

Structure:
Cell lengths 6.5285, 8.7164, 12.3694 Å; angles 90.00, 121.02, 90.00 degrees
Sites, in units of the cell vectors:
Pr: 0.0823 0.1718 0.4505
Pr: 0.0823 0.3282 0.9505
Pr: 0.3159 0.6869 0.4503
Pr: 0.3159 0.8131 0.9503
Pr: 0.3521 0.0288 0.2442
Pr: 0.3521 0.4712 0.7442
Pr: 0.6479 0.5288 0.2558
Pr: 0.6479 0.9712 0.7558
Pr: 0.6841 0.1869 0.0497
Pr: 0.6841 0.3131 0.5497
Pr: 0.9177 0.6718 0.0495
Pr: 0.9177 0.8282 0.5495
Ir: 0.5000 0.0000 0.5000
Ir: 0.5000 0.5000 0.0000
Pb: 0.1748 0.1130 0.7563
Pb: 0.1748 0.3870 0.2563
Pb: 0.8252 0.6130 0.7437
Pb: 0.8252 0.8870 0.2437

=====

For Ho6Si2TeS3, a crystal structure in Alexandria, relaxed with PBE gives the theoretical X-ray diffraction stick pattern in this record (λ = 1.5418 Å (Cu Kα)).

Largest 10 diffraction maxima, low angle first, 5 to 70 degrees two-theta:
| two_theta | intensity |
| --- | --- |
| 26.64 | 136 |
| 26.99 | 293 |
| 27.10 | 144 |
| 31.19 | 1000 |
| 44.45 | 341 |
| 44.81 | 126 |
| 45.01 | 244 |
| 53.07 | 91 |
| 55.64 | 127 |
| 64.99 | 73 |

Structure:
Cell lengths 9.0197, 9.0197, 8.1450 Å; angles 102.06, 102.06, 25.92 degrees
Sites, in units of the cell vectors:
Ho: 0.0046 0.0046 0.2775
Ho: 0.3246 0.3246 0.9005
Ho: 0.3321 0.3321 0.4177
Ho: 0.6679 0.6679 0.5823
Ho: 0.6754 0.6754 0.0995
Ho: 0.9954 0.9954 0.7225
Si: 0.1671 0.1671 0.3354
Si: 0.8329 0.8329 0.6646
Te: 0.5000 0.5000 0.0000
S: 0.1632 0.1632 0.8362
S: 0.5000 0.5000 0.5000
S: 0.8368 0.8368 0.1638